This entry pairs a crystal structure of CsMnP6O18 with its calculated powder X-ray diffraction pattern. Radiation: CuKα. Structure: a PBE+U-relaxed structure.
Kinematic intensities with the Lorentz-polarization factor, no thermal factor.

Top 10 peaks for 10 to 90 degrees two-theta, sorted by position:
- 10.73°, d = 8.244 Å, rel. 48, (0 1 0)
- 18.31°, d = 4.844 Å, rel. 41, (1 -1 0)
- 20.62°, d = 4.307 Å, rel. 80, (0 1 -2)
- 21.64°, d = 4.108 Å, rel. 57, (1 0 1)
- 21.68°, d = 4.099 Å, rel. 90, (0 1 2)
- 23.00°, d = 3.867 Å, rel. 61, (1 0 -2)
- 23.27°, d = 3.822 Å, rel. 67, (1 1 0)
- 23.90°, d = 3.723 Å, rel. 45, (0 2 1)
- 24.18°, d = 3.680 Å, rel. 100, (1 -2 0)
- 27.00°, d = 3.302 Å, rel. 38, (1 1 -2)

Crystal structure
```
CsMnP6O18
1.0
5.2205 0.0000 0.0000
-2.2042 8.2572 0.0000
-1.8335 -0.5515 9.7600
Cs Mn P O
1 1 6 18
direct
0.0000 0.0000 0.0000 Cs
0.0000 0.0000 0.5000 Mn
0.3492 0.5677 0.7717 P
0.3964 0.7660 0.5341 P
0.4477 0.2329 0.7369 P
0.5523 0.7671 0.2631 P
0.6036 0.2340 0.4659 P
0.6508 0.4323 0.2283 P
0.0982 0.6043 0.8034 O
0.1269 0.8033 0.5314 O
0.2051 0.0912 0.6794 O
0.3166 0.3787 0.7681 O
0.3483 0.1057 0.4114 O
0.3676 0.7968 0.1410 O
0.3821 0.6021 0.6151 O
0.3971 0.6939 0.3850 O
0.4105 0.3341 0.1268 O
0.5895 0.6659 0.8732 O
0.6029 0.3061 0.6150 O
0.6179 0.3979 0.3849 O
0.6324 0.2032 0.8590 O
0.6517 0.8943 0.5886 O
0.6834 0.6213 0.2319 O
0.7949 0.9088 0.3206 O
0.8731 0.1967 0.4686 O
0.9018 0.3957 0.1966 O
```